1.
Diffraction record for Mg6CoNiO8. The PXRD pattern is theoretical, not measured: it uses a structure optimized by DFT (GGA+U) and copper Kα.

Crystal structure
Lattice parameters (Å, degrees): 4.2395 4.2395 8.5421 90.00 90.00 90.00
Sites, in units of the cell vectors:
Mg: 0.0000 0.0000 0.0000
Mg: 0.0000 0.0000 0.5000
Mg: 0.0000 0.5000 0.2492
Mg: 0.0000 0.5000 0.7508
Mg: 0.5000 0.0000 0.2492
Mg: 0.5000 0.0000 0.7508
Co: 0.5000 0.5000 0.5000
Ni: 0.5000 0.5000 0.0000
O: 0.0000 0.0000 0.2504
O: 0.0000 0.0000 0.7496
O: 0.0000 0.5000 0.0000
O: 0.0000 0.5000 0.5000
O: 0.5000 0.0000 0.0000
O: 0.5000 0.0000 0.5000
O: 0.5000 0.5000 0.2475
O: 0.5000 0.5000 0.7525

Top 10 peaks for 15° ≤ 2θ ≤ 90°, in order of falling intensity:
- 2θ 42.7, rel. 100
- 2θ 61.7, rel. 57
- 2θ 42.3, rel. 51
- 2θ 36.6, rel. 42
- 2θ 61.9, rel. 28
- 2θ 77.9, rel. 26
- 2θ 21.0, rel. 23
- 2θ 29.7, rel. 19
- 2θ 74.1, rel. 14
- 2θ 20.8, rel. 12

***

2.
Diffraction record for MgCo5NiO12. The PXRD pattern is theoretical, not measured: it uses a structure optimized by DFT (GGA+U) and copper Kα.

Crystal structure
Lattice parameters (Å, degrees): 4.8756 4.8827 9.9948 89.33 89.91 60.10
Sites, in units of the cell vectors:
Mg: 0.0000 0.0000 0.0000
Co: 0.1623 0.4979 0.2532
Co: 0.4953 0.8309 0.2530
Co: 0.6632 0.4967 0.7462
Co: 0.8257 0.1673 0.2584
Co: 0.9964 0.8265 0.7416
Ni: 0.3292 0.1631 0.7498
O: 0.1572 0.1620 0.1517
O: 0.1700 0.8219 0.3475
O: 0.3214 0.8331 0.8481
O: 0.3352 0.4897 0.6530
O: 0.4881 0.1628 0.3475
O: 0.4921 0.5025 0.1543
O: 0.6534 0.8314 0.6530
O: 0.6725 0.1574 0.8478
O: 0.8283 0.5035 0.3475
O: 0.8342 0.8369 0.1514
O: 0.9972 0.1726 0.6528
O: 0.9973 0.4904 0.8457

Top 10 peaks for 15° ≤ 2θ ≤ 90°, in order of falling intensity:
- 2θ 17.7, rel. 100
- 2θ 38.0, rel. 17
- 2θ 45.8, rel. 16
- 2θ 41.2, rel. 14
- 2θ 46.3, rel. 12
- 2θ 52.4, rel. 12
- 2θ 37.8, rel. 12
- 2θ 60.1, rel. 8
- 2θ 36.9, rel. 7
- 2θ 59.4, rel. 7

***

3.
Diffraction record for MgCo4NiO8. The PXRD pattern is theoretical, not measured: it uses a structure optimized by DFT (GGA+U) and copper Kα.

Crystal structure
Lattice parameters (Å, degrees): 5.7610 5.8355 5.8978 60.70 89.18 60.75
Sites, in units of the cell vectors:
Mg: 0.0000 0.0000 0.0000
Co: 0.4972 0.5002 0.5016
Co: 0.9944 0.5024 0.0002
Co: 0.9983 0.0008 0.5005
Co: 0.9986 0.5007 0.5004
Ni: 0.4979 0.0017 0.4981
O: 0.2034 0.0478 0.7021
O: 0.2101 0.5468 0.7096
O: 0.2324 0.9934 0.2732
O: 0.2436 0.5008 0.2737
O: 0.7529 0.5008 0.7263
O: 0.7634 0.0084 0.7272
O: 0.7854 0.4550 0.2927
O: 0.7944 0.9536 0.2976

Top 10 peaks for 15° ≤ 2θ ≤ 90°, in order of falling intensity:
- 2θ 18.1, rel. 100
- 2θ 42.6, rel. 57
- 2θ 43.6, rel. 53
- 2θ 44.3, rel. 52
- 2θ 18.5, rel. 30
- 2θ 36.4, rel. 22
- 2θ 36.6, rel. 21
- 2θ 37.5, rel. 19
- 2θ 37.7, rel. 18
- 2θ 38.1, rel. 17

***

4.
Diffraction record for MgCo4Ni2O8. The PXRD pattern is theoretical, not measured: it uses a structure optimized by DFT (GGA+U) and copper Kα.

Crystal structure
Lattice parameters (Å, degrees): 6.6835 6.6835 6.6835 128.83 128.65 75.43
Sites, in units of the cell vectors:
Mg: 0.0000 0.0000 0.0000
Co: 0.2529 0.7529 0.5000
Co: 0.4321 0.1715 0.2606
Co: 0.4989 0.4989 0.0000
Co: 0.9108 0.1715 0.7394
Ni: 0.8297 0.0913 0.2616
Ni: 0.8297 0.5680 0.7384
O: 0.0867 0.8573 0.2294
O: 0.1028 0.3684 0.7343
O: 0.1468 0.3759 0.2291
O: 0.1468 0.9177 0.7709
O: 0.6279 0.8573 0.7706
O: 0.6341 0.3684 0.2657
O: 0.6375 0.3761 0.7385
O: 0.6375 0.8990 0.2615

Top 10 peaks for 15° ≤ 2θ ≤ 90°, in order of falling intensity:
- 2θ 35.7, rel. 100
- 2θ 29.7, rel. 75
- 2θ 27.6, rel. 74
- 2θ 56.9, rel. 50
- 2θ 16.8, rel. 48
- 2θ 17.5, rel. 40
- 2θ 46.6, rel. 38
- 2θ 58.2, rel. 34
- 2θ 43.4, rel. 23
- 2θ 45.7, rel. 23

***

5.
Diffraction record for MgCoNi4O8. The PXRD pattern is theoretical, not measured: it uses a structure optimized by DFT (GGA+U) and copper Kα.

Crystal structure
Lattice parameters (Å, degrees): 5.9151 5.9151 5.9588 119.05 119.05 57.55
Sites, in units of the cell vectors:
Mg: 0.0000 0.0000 0.0000
Co: 0.6496 0.6496 0.4202
Ni: 0.1579 0.6550 0.4179
Ni: 0.2034 0.2034 0.5322
Ni: 0.6550 0.1579 0.4179
Ni: 0.6566 0.6566 0.9325
O: 0.4140 0.8994 0.2040
O: 0.4184 0.4184 0.6408
O: 0.4267 0.8763 0.6533
O: 0.4341 0.4341 0.2324
O: 0.8763 0.4267 0.6533
O: 0.8767 0.8767 0.6061
O: 0.8952 0.8952 0.1964
O: 0.8994 0.4140 0.2040

Top 10 peaks for 15° ≤ 2θ ≤ 90°, in order of falling intensity:
- 2θ 17.9, rel. 100
- 2θ 44.0, rel. 83
- 2θ 41.9, rel. 46
- 2θ 36.6, rel. 34
- 2θ 35.0, rel. 33
- 2θ 62.9, rel. 31
- 2θ 37.9, rel. 26
- 2θ 18.7, rel. 23
- 2θ 61.7, rel. 20
- 2θ 37.1, rel. 18

***

6.
Diffraction record for MgCoNi4O8. The PXRD pattern is theoretical, not measured: it uses a structure optimized by DFT (GGA+U) and copper Kα.

Crystal structure
Lattice parameters (Å, degrees): 5.7594 5.8816 5.8931 90.35 119.22 119.30
Sites, in units of the cell vectors:
Mg: 0.0000 0.0000 0.0000
Co: 0.0000 0.0000 0.5000
Ni: 0.0000 0.5000 0.5000
Ni: 0.5000 0.0000 0.0000
Ni: 0.5000 0.0000 0.5000
Ni: 0.5000 0.5000 0.5000
O: 0.0009 0.7719 0.7295
O: 0.0420 0.7915 0.2936
O: 0.4559 0.2074 0.7058
O: 0.4995 0.2248 0.2739
O: 0.5005 0.7752 0.7261
O: 0.5441 0.7926 0.2942
O: 0.9580 0.2085 0.7064
O: 0.9991 0.2281 0.2705

Top 10 peaks for 15° ≤ 2θ ≤ 90°, in order of falling intensity:
- 2θ 18.2, rel. 100
- 2θ 43.6, rel. 82
- 2θ 43.3, rel. 42
- 2θ 38.0, rel. 28
- 2θ 63.1, rel. 23
- 2θ 63.3, rel. 22
- 2θ 36.3, rel. 21
- 2θ 36.9, rel. 16
- 2θ 37.0, rel. 16
- 2θ 57.3, rel. 14

***

7.
Diffraction record for MgCoNi4O8. The PXRD pattern is theoretical, not measured: it uses a structure optimized by DFT (GGA+U) and copper Kα.

Crystal structure
Lattice parameters (Å, degrees): 5.7356 5.7356 5.9029 119.41 119.41 60.91
Sites, in units of the cell vectors:
Mg: 0.0000 0.0000 0.0000
Co: 0.5000 0.5000 0.5000
Ni: 0.0000 0.0000 0.5000
Ni: 0.0000 0.5000 0.5000
Ni: 0.5000 0.0000 0.5000
Ni: 0.5000 0.5000 0.0000
O: 0.2469 0.7249 0.7249
O: 0.2489 0.2489 0.7027
O: 0.2610 0.2610 0.2836
O: 0.2751 0.7531 0.2751
O: 0.7249 0.2469 0.7249
O: 0.7390 0.7390 0.7164
O: 0.7511 0.7511 0.2973
O: 0.7531 0.2751 0.2751

Top 10 peaks for 15° ≤ 2θ ≤ 90°, in order of falling intensity:
- 2θ 43.7, rel. 100
- 2θ 18.3, rel. 88
- 2θ 44.6, rel. 47
- 2θ 38.1, rel. 34
- 2θ 37.0, rel. 29
- 2θ 63.4, rel. 27
- 2θ 65.1, rel. 26
- 2θ 18.9, rel. 25
- 2θ 36.3, rel. 19
- 2θ 38.3, rel. 17

***

8.
Diffraction record for MgCoNiP2O9. The PXRD pattern is theoretical, not measured: it uses a structure optimized by DFT (GGA+U) and copper Kα.

Crystal structure
Lattice parameters (Å, degrees): 7.2294 6.2327 14.2258 90.00 91.21 90.00
Sites, in units of the cell vectors:
Mg: 0.1090 0.2500 0.2769
Mg: 0.3552 0.2500 0.7704
Mg: 0.6448 0.7500 0.2296
Mg: 0.8910 0.7500 0.7231
Co: 0.1470 0.7500 0.1227
Co: 0.3507 0.7500 0.6199
Co: 0.6493 0.2500 0.3801
Co: 0.8530 0.2500 0.8773
Ni: 0.0000 0.0000 0.5000
Ni: 0.0000 0.5000 0.5000
Ni: 0.5000 0.0000 0.0000
Ni: 0.5000 0.5000 0.0000
P: 0.1066 0.7500 0.3049
P: 0.1362 0.2500 0.0711
P: 0.3593 0.2500 0.5660
P: 0.3831 0.7500 0.8021
P: 0.6169 0.2500 0.1979
P: 0.6407 0.7500 0.4340
P: 0.8638 0.7500 0.9289
P: 0.8934 0.2500 0.6951
O: 0.0239 0.7500 0.9987
O: 0.0604 0.2500 0.7681
O: 0.1046 0.5374 0.3619
O: 0.1046 0.9626 0.3619
O: 0.1278 0.0606 0.1426
O: 0.1278 0.4394 0.1426
O: 0.1490 0.7500 0.5528
O: 0.1656 0.2500 0.5182
O: 0.1998 0.7500 0.7415
O: 0.2858 0.7500 0.2442
O: 0.3231 0.2500 0.0209
O: 0.3567 0.7500 0.0475
O: 0.3717 0.0620 0.6380
O: 0.3717 0.4380 0.6380
O: 0.3961 0.5376 0.8584
O: 0.3961 0.9624 0.8584
O: 0.4626 0.2500 0.2756
O: 0.4964 0.7500 0.5078
O: 0.5036 0.2500 0.4922
O: 0.5374 0.7500 0.7244
O: 0.6039 0.0376 0.1416
O: 0.6039 0.4624 0.1416
O: 0.6283 0.5620 0.3620
O: 0.6283 0.9380 0.3620
O: 0.6433 0.2500 0.9525
O: 0.6769 0.7500 0.9791
O: 0.7142 0.2500 0.7558
O: 0.8002 0.2500 0.2585
O: 0.8344 0.7500 0.4818
O: 0.8510 0.2500 0.4472
O: 0.8722 0.5606 0.8574
O: 0.8722 0.9394 0.8574
O: 0.8954 0.0374 0.6381
O: 0.8954 0.4626 0.6381
O: 0.9396 0.7500 0.2319
O: 0.9761 0.2500 0.0013

Top 10 peaks for 15° ≤ 2θ ≤ 90°, in order of falling intensity:
- 2θ 25.6, rel. 100
- 2θ 25.3, rel. 99
- 2θ 32.0, rel. 70
- 2θ 17.7, rel. 65
- 2θ 31.8, rel. 61
- 2θ 33.6, rel. 59
- 2θ 17.3, rel. 55
- 2θ 28.6, rel. 54
- 2θ 57.8, rel. 42
- 2θ 59.3, rel. 41

***

9.
Diffraction record for Mg2Co7O12. The PXRD pattern is theoretical, not measured: it uses a structure optimized by DFT (GGA+U) and copper Kα.

Crystal structure
Lattice parameters (Å, degrees): 5.8080 5.8215 14.1597 90.04 90.16 119.92
Sites, in units of the cell vectors:
Mg: 0.0000 0.0000 0.0000
Mg: 0.1655 0.3395 0.8324
Mg: 0.4994 0.0035 0.4992
Mg: 0.8325 0.1736 0.1678
Co: 0.0025 0.5054 0.5002
Co: 0.0050 0.0117 0.3746
Co: 0.1673 0.8392 0.8314
Co: 0.3284 0.6733 0.2912
Co: 0.3337 0.6731 0.6649
Co: 0.3364 0.1727 0.1672
Co: 0.3382 0.6714 0.0437
Co: 0.4978 0.5064 0.5003
Co: 0.6609 0.3336 0.9559
Co: 0.6660 0.3443 0.3323
Co: 0.6660 0.8394 0.8328
Co: 0.6708 0.3492 0.7074
Co: 0.8316 0.6683 0.1680
Co: 0.9953 0.9958 0.6249
O: 0.0090 0.9976 0.2410
O: 0.0299 0.5330 0.7485
O: 0.1579 0.8446 0.0942
O: 0.1703 0.3230 0.0880
O: 0.1724 0.8084 0.5807
O: 0.1835 0.3718 0.5783
O: 0.3163 0.1493 0.9102
O: 0.3246 0.6529 0.4285
O: 0.3420 0.6872 0.9078
O: 0.3619 0.2005 0.4169
O: 0.4859 0.9775 0.7520
O: 0.4983 0.5342 0.7487
O: 0.5054 0.0426 0.2510
O: 0.5173 0.4885 0.2455
O: 0.6312 0.8089 0.5811
O: 0.6568 0.3448 0.0916
O: 0.6758 0.3560 0.5737
O: 0.6838 0.8338 0.0894
O: 0.8194 0.6461 0.4215
O: 0.8282 0.1521 0.9117
O: 0.8325 0.1978 0.4154
O: 0.8415 0.6868 0.9054
O: 0.9610 0.5001 0.2502
O: 0.9915 0.9901 0.7615

Top 10 peaks for 15° ≤ 2θ ≤ 90°, in order of falling intensity:
- 2θ 36.3, rel. 100
- 2θ 36.2, rel. 81
- 2θ 36.4, rel. 75
- 2θ 30.7, rel. 48
- 2θ 30.8, rel. 39
- 2θ 64.0, rel. 37
- 2θ 64.2, rel. 37
- 2θ 58.4, rel. 35
- 2θ 44.2, rel. 27
- 2θ 58.3, rel. 23

***

10.
Diffraction record for MgCo2O4. The PXRD pattern is theoretical, not measured: it uses a structure optimized by DFT (GGA+U) and copper Kα.

Crystal structure
Lattice parameters (Å, degrees): 6.0865 6.0865 6.0865 123.98 123.98 83.24
Sites, in units of the cell vectors:
Mg: 0.3750 0.6250 0.7500
Mg: 0.6250 0.3750 0.2500
Co: 0.0000 0.0000 0.0000
Co: 0.0000 0.0000 0.5000
Co: 0.0000 0.5000 0.0000
Co: 0.5000 0.0000 0.5000
O: 0.2151 0.2419 0.9732
O: 0.2313 0.7581 0.4732
O: 0.2419 0.2151 0.4732
O: 0.2419 0.7687 0.0268
O: 0.7581 0.2313 0.9732
O: 0.7581 0.7849 0.5268
O: 0.7687 0.2419 0.5268
O: 0.7849 0.7581 0.0268

Top 10 peaks for 15° ≤ 2θ ≤ 90°, in order of falling intensity:
- 2θ 18.3, rel. 100
- 2θ 36.5, rel. 74
- 2θ 33.4, rel. 53
- 2θ 61.4, rel. 51
- 2θ 44.8, rel. 43
- 2θ 39.6, rel. 33
- 2θ 59.1, rel. 26
- 2θ 37.1, rel. 22
- 2θ 65.3, rel. 20
- 2θ 52.8, rel. 18